Record 1
Simulated X-ray powder pattern of Ac8Ir5 for Cu Ka, from a structure optimized by DFT (GGA-PBE).
No peak broadening, texture or thermal motion is included.

Atomic structure:
Cell lengths 8.196, 8.196, 10.242 Å; angles 124.60, 124.60, 64.69 degrees
Fractional positions:
Ac (0.025, 0.025, 0.322)
Ac (0.029, 0.544, 0.836)
Ac (0.456, 0.971, 0.164)
Ac (0.469, 0.469, 0.665)
Ac (0.531, 0.531, 0.335)
Ac (0.544, 0.029, 0.836)
Ac (0.971, 0.456, 0.164)
Ac (0.975, 0.975, 0.678)
Ir (0.000, 0.000, 0.000)
Ir (0.252, 0.748, 0.500)
Ir (0.258, 0.258, 0.003)
Ir (0.742, 0.742, 0.997)
Ir (0.748, 0.252, 0.500)

The 8 most intense peaks (15 to 90 degrees two-theta), in order of rising 2θ:
2θ/deg	d/Å	intensity
26.8	3.328	100
35.0	2.562	32
35.1	2.554	40
41.2	2.191	51
46.0	1.975	18
49.8	1.831	15
55.1	1.666	11
71.1	1.326	12

***

Record 2
Simulated X-ray powder pattern of Ac8Ir3 for Cu Ka, from a structure optimized by DFT (GGA-PBE).
No peak broadening, texture or thermal motion is included.

Atomic structure:
Cell lengths 7.478, 7.478, 7.478 Å; angles 90.90, 90.90, 90.90 degrees
Fractional positions:
Ac (0.150, 0.666, 0.339)
Ac (0.160, 0.160, 0.160)
Ac (0.334, 0.661, 0.850)
Ac (0.339, 0.150, 0.666)
Ac (0.661, 0.850, 0.334)
Ac (0.666, 0.339, 0.150)
Ac (0.840, 0.840, 0.840)
Ac (0.850, 0.334, 0.661)
Ir (0.000, 0.000, 0.500)
Ir (0.000, 0.500, 0.000)
Ir (0.500, 0.000, 0.000)

The 8 most intense peaks (15 to 90 degrees two-theta), in order of rising 2θ:
2θ/deg	d/Å	intensity
26.5	3.365	100
26.8	3.322	66
29.2	3.060	37
29.7	3.012	26
39.9	2.258	37
45.1	2.010	27
45.4	1.996	28
64.4	1.447	21

***

Record 3
Simulated X-ray powder pattern of KAc8Ir4 for Cu Ka, from a structure optimized by DFT (GGA-PBE).
No peak broadening, texture or thermal motion is included.

Atomic structure:
Cell lengths 11.116, 11.116, 11.116 Å; angles 92.31, 92.31, 156.85 degrees
Fractional positions:
K (0.000, 0.000, 0.000)
Ac (0.042, 0.338, 0.381)
Ac (0.302, 0.345, 0.647)
Ac (0.338, 0.958, 0.296)
Ac (0.345, 0.698, 0.043)
Ac (0.655, 0.302, 0.957)
Ac (0.662, 0.042, 0.704)
Ac (0.698, 0.655, 0.353)
Ac (0.958, 0.662, 0.619)
Ir (0.152, 0.673, 0.825)
Ir (0.327, 0.152, 0.480)
Ir (0.673, 0.848, 0.520)
Ir (0.848, 0.327, 0.175)

The 8 most intense peaks (15 to 90 degrees two-theta), in order of rising 2θ:
2θ/deg	d/Å	intensity
26.5	3.367	100
29.6	3.020	27
31.2	2.864	36
35.0	2.567	29
37.3	2.408	33
40.4	2.231	21
42.7	2.117	63
54.5	1.684	16

***

Record 4
Simulated X-ray powder pattern of Ac8LaIr4 for Cu Ka, from a structure optimized by DFT (GGA-PBE).
No peak broadening, texture or thermal motion is included.

Atomic structure:
Cell lengths 10.812, 10.812, 10.812 Å; angles 92.42, 92.42, 156.28 degrees
Fractional positions:
Ac (0.045, 0.336, 0.381)
Ac (0.312, 0.352, 0.665)
Ac (0.336, 0.955, 0.290)
Ac (0.352, 0.688, 0.040)
Ac (0.648, 0.312, 0.960)
Ac (0.664, 0.045, 0.710)
Ac (0.688, 0.648, 0.335)
Ac (0.955, 0.664, 0.619)
La (0.000, 0.000, 0.000)
Ir (0.151, 0.676, 0.828)
Ir (0.324, 0.151, 0.475)
Ir (0.676, 0.849, 0.525)
Ir (0.849, 0.324, 0.172)

The 8 most intense peaks (15 to 90 degrees two-theta), in order of rising 2θ:
2θ/deg	d/Å	intensity
26.6	3.346	19
26.9	3.319	100
30.5	2.935	20
31.8	2.811	35
36.0	2.494	27
38.2	2.356	21
40.6	2.222	21
43.8	2.069	55